MgSi2: computed powder diffractogram (Cu Kα, 1.54184 Å), based on a crystal structure in the Materials Project, relaxed with PBE.

```
data_MgSi2
_space_group_name_H-M_alt 'P 1'
_space_group_IT_number 1
_cell_length_a 5.2024
_cell_length_b 5.4411
_cell_length_c 7.7563
_cell_angle_alpha 108.26
_cell_angle_beta 91.89
_cell_angle_gamma 91.29
loop_
_space_group_symop_operation_xyz
'x,y,z'
loop_
_atom_site_label
_atom_site_type_symbol
_atom_site_fract_x
_atom_site_fract_y
_atom_site_fract_z
Mg1 Mg 0.0000 0.0000 0.0000
Mg2 Mg 0.0071 0.3660 0.3893
Mg3 Mg 0.0323 0.3827 0.7678
Mg4 Mg 0.6998 0.8699 0.4772
Si1 Si 0.1822 0.8691 0.3351
Si2 Si 0.2282 0.8201 0.6572
Si3 Si 0.3575 0.4883 0.1012
Si4 Si 0.4917 0.1548 0.2368
Si5 Si 0.5178 0.7794 0.9397
Si6 Si 0.5265 0.1874 0.8056
Si7 Si 0.5309 0.4342 0.5844
Si8 Si 0.8636 0.5507 0.1139
```

Top 10 peaks for 10° ≤ 2θ ≤ 90°, in order of rising 2θ:
d_spacing	two_theta	I_rel	hkl
2.631	34.07	58	0 1 2
2.518	35.65	58	0 2 -2
2.418	37.18	49	2 0 1
2.393	37.59	100	-1 1 2
2.313	38.94	90	1 1 -3
2.304	39.09	63	2 1 -1
2.289	39.35	64	2 1 0
2.271	39.70	73	1 -2 2
2.183	41.36	63	1 0 3
2.177	41.49	65	-2 1 1

---

Nd3GaCo3: computed powder diffractogram (Cu Kα, 1.54184 Å), based on a crystal structure in the Materials Project, relaxed with PBE.

```
data_Nd3GaCo3
_space_group_name_H-M_alt 'C m c m'
_space_group_IT_number 63
_space_group_name_Hall '-C 2c 2'
_cell_length_a 4.2126
_cell_length_b 10.2861
_cell_length_c 13.1692
_cell_angle_alpha 90.00
_cell_angle_beta 90.00
_cell_angle_gamma 90.00
loop_
_atom_site_label
_atom_site_type_symbol
_atom_site_fract_x
_atom_site_fract_y
_atom_site_fract_z
Nd1 Nd 0.0000 0.0032 0.2500
Nd2 Nd 0.0000 0.2936 0.1018
Ga1 Ga 0.0000 0.0000 0.0000
Co1 Co 0.0000 0.2988 0.7500
Co2 Co 0.0000 0.4158 0.5983
```

Top 10 peaks for 10° ≤ 2θ ≤ 90°, in order of rising 2θ:
d_spacing	two_theta	I_rel	hkl
2.915	30.67	74	1 1 3
2.773	32.28	51	0 2 4
2.659	33.70	100	1 3 0
2.515	35.70	90	1 1 4
2.274	39.63	68	1 3 3
2.219	40.66	39	0 4 3
2.195	41.13	26	0 0 6
2.106	42.94	53	2 0 0
1.520	60.97	30	2 0 6
1.387	67.52	28	1 7 0

---

CdIrRu: computed powder diffractogram (Cu Kα, 1.54184 Å), based on a crystal structure in the Materials Project, relaxed with PBE.

```
data_CdIrRu
_space_group_name_H-M_alt 'F -4 3 m'
_space_group_IT_number 216
_space_group_name_Hall 'F -4 2 3'
_cell_length_a 6.0838
_cell_length_b 6.0838
_cell_length_c 6.0838
_cell_angle_alpha 90.00
_cell_angle_beta 90.00
_cell_angle_gamma 90.00
loop_
_atom_site_label
_atom_site_type_symbol
_atom_site_fract_x
_atom_site_fract_y
_atom_site_fract_z
Cd1 Cd 0.0000 0.0000 0.0000
Ir1 Ir 0.0000 0.0000 0.5000
Ru1 Ru 0.2500 0.2500 0.7500
```

Top 10 peaks for 10° ≤ 2θ ≤ 90°, in order of rising 2θ:
d_spacing	two_theta	I_rel	hkl
3.512	25.36	25	1 1 1
3.042	29.36	32	2 0 0
2.151	42.01	100	2 2 0
1.834	49.70	12	3 1 1
1.756	52.08	9	2 2 2
1.521	60.91	16	4 0 0
1.396	67.06	5	3 3 1
1.360	69.04	11	4 2 0
1.242	76.75	33	4 2 2
1.171	82.36	4	5 1 1

---

Ni3B: computed powder diffractogram (Cu Kα, 1.54184 Å), based on a crystal structure in the Materials Project, relaxed with PBE.

```
data_Ni3B
_space_group_name_H-M_alt 'P n m a'
_space_group_IT_number 62
_cell_length_a 5.1772
_cell_length_b 6.6205
_cell_length_c 4.3844
_cell_angle_alpha 90.00
_cell_angle_beta 90.00
_cell_angle_gamma 90.00
loop_
_space_group_symop_operation_xyz
'x,y,z'
'-x,-y,-z'
'-x+1/2,-y,z+1/2'
'x+1/2,y,-z+1/2'
'x+1/2,-y+1/2,-z+1/2'
'-x+1/2,y+1/2,z+1/2'
'-x,y+1/2,-z'
'x,-y+1/2,z'
loop_
_atom_site_label
_atom_site_type_symbol
_atom_site_fract_x
_atom_site_fract_y
_atom_site_fract_z
Ni1 Ni 0.0280 0.2500 0.1333
Ni2 Ni 0.1800 0.0628 0.6558
B1 B 0.1183 0.7500 0.4393
```

Top 10 peaks for 10° ≤ 2θ ≤ 90°, in order of rising 2θ:
d_spacing	two_theta	I_rel	hkl
2.353	38.25	58	1 2 1
2.113	42.81	60	2 1 1
2.039	44.43	76	2 2 0
2.019	44.90	70	1 0 2
1.971	46.04	100	0 3 1
1.931	47.06	67	1 1 2
1.849	49.28	46	2 2 1
1.842	49.48	40	1 3 1
1.606	57.38	29	3 0 1
1.155	83.71	37	3 3 2

---

KMg6Bi: computed powder diffractogram (Cu Kα, 1.54184 Å), based on a crystal structure in the Materials Project, relaxed with PBE.

```
data_KMg6Bi
_space_group_name_H-M_alt 'A m m 2'
_space_group_IT_number 38
_cell_length_a 5.3378
_cell_length_b 6.6550
_cell_length_c 12.1519
_cell_angle_alpha 90.00
_cell_angle_beta 90.00
_cell_angle_gamma 90.00
loop_
_space_group_symop_operation_xyz
'x,y,z'
'-x,-y,z'
'-x,y,z'
'x,-y,z'
'x,y+1/2,z+1/2'
'-x,-y+1/2,z+1/2'
'-x,y+1/2,z+1/2'
'x,-y+1/2,z+1/2'
loop_
_atom_site_label
_atom_site_type_symbol
_atom_site_fract_x
_atom_site_fract_y
_atom_site_fract_z
K1 K 0.0000 0.0000 0.0000
Mg1 Mg 0.0000 0.2466 0.2485
Mg2 Mg 0.5000 0.0000 0.1735
Mg3 Mg 0.5000 0.0000 0.6708
Mg4 Mg 0.5000 0.2451 0.4085
Bi1 Bi 0.0000 0.0000 0.4954
```

Top 10 peaks for 10° ≤ 2θ ≤ 90°, in order of rising 2θ:
d_spacing	two_theta	I_rel	hkl
6.076	14.58	53	0 0 2
5.837	15.18	75	0 1 1
5.338	16.61	44	1 0 0
4.010	22.17	49	1 0 2
3.939	22.57	59	1 1 1
2.919	30.63	37	0 2 2
2.903	30.80	29	1 1 3
2.669	33.58	34	2 0 0
2.640	33.95	52	1 0 4
2.561	35.04	100	1 2 2

---

NaPrTl2: computed powder diffractogram (Cu Kα, 1.54184 Å), based on a crystal structure in the Materials Project, relaxed with PBE.

```
data_NaPrTl2
_space_group_name_H-M_alt 'F m -3 m'
_space_group_IT_number 225
_space_group_name_Hall '-F 4 2 3'
_cell_length_a 7.7455
_cell_length_b 7.7455
_cell_length_c 7.7455
_cell_angle_alpha 90.00
_cell_angle_beta 90.00
_cell_angle_gamma 90.00
loop_
_atom_site_label
_atom_site_type_symbol
_atom_site_fract_x
_atom_site_fract_y
_atom_site_fract_z
Na1 Na 0.0000 0.0000 0.0000
Pr1 Pr 0.0000 0.0000 0.5000
Tl1 Tl 0.2500 0.2500 0.2500
```

Top 10 peaks for 10° ≤ 2θ ≤ 90°, in order of rising 2θ:
d_spacing	two_theta	I_rel	hkl
4.472	19.85	10	1 1 1
3.873	22.96	20	2 0 0
2.738	32.70	100	2 2 0
2.335	38.55	6	3 1 1
2.236	40.34	6	2 2 2
1.936	46.92	18	4 0 0
1.732	52.86	9	4 2 0
1.581	58.37	39	4 2 2
1.369	68.53	12	4 4 0
1.225	78.02	17	6 2 0

---

AlZnCu3Se4: computed powder diffractogram (Cu Kα, 1.54184 Å), based on a crystal structure in the Materials Project, relaxed with PBE.

```
data_AlZnCu3Se4
_space_group_name_H-M_alt 'P -4 3 m'
_space_group_IT_number 215
_space_group_name_Hall 'P -4 2 3'
_cell_length_a 5.7156
_cell_length_b 5.7156
_cell_length_c 5.7156
_cell_angle_alpha 90.00
_cell_angle_beta 90.00
_cell_angle_gamma 90.00
loop_
_atom_site_label
_atom_site_type_symbol
_atom_site_fract_x
_atom_site_fract_y
_atom_site_fract_z
Al1 Al 0.0000 0.0000 0.0000
Zn1 Zn 0.5000 0.5000 0.5000
Cu1 Cu 0.0000 0.0000 0.5000
Se1 Se 0.2483 0.2483 0.2483
```

Top 10 peaks for 10° ≤ 2θ ≤ 90°, in order of rising 2θ:
d_spacing	two_theta	I_rel	hkl
5.716	15.50	2	1 0 0
4.042	21.99	1	1 1 0
3.300	27.02	100	1 1 1
2.333	38.58	1	2 1 1
2.021	44.85	87	2 2 0
1.723	53.15	44	3 1 1
1.429	65.30	14	4 0 0
1.311	72.02	17	3 3 1
1.167	82.72	28	4 2 2
1.100	88.99	13	5 1 1